Sr2Li3Pb5: calculated PXRD pattern (copper Kα), based on a structure optimized by DFT (GGA-PBE).
No peak broadening, texture or thermal motion is included.

Peak list (12 most intense, 10 to 90 degrees two-theta, in order of rising 2θ)
- (0 6 1), 21.6°, d 4.114, intensity 25
- (1 3 1), 23.1°, d 3.854, intensity 66
- (1 5 0), 23.3°, d 3.822, intensity 24
- (1 5 1), 26.1°, d 3.413, intensity 27
- (1 7 0), 27.7°, d 3.224, intensity 26
- (1 7 1), 30.1°, d 2.967, intensity 39
- (1 3 2), 30.9°, d 2.892, intensity 100
- (1 9 0), 32.7°, d 2.740, intensity 57
- (2 0 0), 35.7°, d 2.516, intensity 52
- (1 9 2), 40.6°, d 2.220, intensity 35
- (1 13 3), 57.7°, d 1.598, intensity 33
- (3 3 2), 61.2°, d 1.515, intensity 21

Structural model:
a b c (Å): 5.031 29.395 7.579
angles (deg): 90.00 90.00 90.00
Space group Cmc2_1 (No. 36)
One atom of each set of equivalent atoms:
1 Sr 0.000 0.014 0.000 (multiplicity 4)
2 Sr 0.000 0.330 0.019 (multiplicity 4)
3 Li 0.000 0.106 0.289 (multiplicity 4)
4 Li 0.000 0.279 0.524 (multiplicity 4)
5 Li 0.000 0.449 0.195 (multiplicity 4)
6 Pb 0.000 0.099 0.692 (multiplicity 4)
7 Pb 0.000 0.210 0.232 (multiplicity 4)
8 Pb 0.000 0.213 0.812 (multiplicity 4)
9 Pb 0.000 0.377 0.493 (multiplicity 4)
10 Pb 0.000 0.451 0.796 (multiplicity 4)

***

PmTm5Sb6: calculated PXRD pattern (copper Kα), based on a structure optimized by DFT (GGA-PBE).
No peak broadening, texture or thermal motion is included.

Peak list (11 most intense, 10 to 90 degrees two-theta, in order of rising 2θ)
- (2 0 0), 25.0°, d 3.564, intensity 4
- (1 3 1), 28.9°, d 3.086, intensity 100
- (2 0 2), 41.4°, d 2.182, intensity 76
- (3 3 1), 48.9°, d 1.861, intensity 2
- (0 0 4), 51.3°, d 1.782, intensity 27
- (4 0 -4), 59.9°, d 1.543, intensity 13
- (4 0 2), 66.0°, d 1.416, intensity 1
- (3 3 -5), 67.9°, d 1.380, intensity 35
- (2 0 -6), 75.4°, d 1.260, intensity 26
- (6 0 0), 80.9°, d 1.188, intensity 1
- (2 6 -6), 89.9°, d 1.091, intensity 9

Structural model:
a b c (Å): 7.560 13.097 7.559
angles (deg): 90.00 109.50 90.00
Space group C2/m (No. 12)
One atom of each set of equivalent atoms:
1 Pm 0.000 0.000 0.000 (multiplicity 2)
2 Tm 0.000 0.164 0.500 (multiplicity 4)
3 Tm 0.000 0.332 0.000 (multiplicity 4)
4 Tm 0.000 0.500 0.500 (multiplicity 2)
5 Sb 0.244 0.500 0.252 (multiplicity 4)
6 Sb 0.245 0.330 0.746 (multiplicity 8)

***

EuP2Ir2: calculated PXRD pattern (copper Kα), based on a structure optimized by DFT (GGA-PBE).
No peak broadening, texture or thermal motion is included.

Peak list (12 most intense, 10 to 90 degrees two-theta, in order of rising 2θ)
- (0 1 2), 29.4°, d 3.037, intensity 100
- (2 0 0), 30.7°, d 2.910, intensity 57
- (0 2 1), 33.3°, d 2.694, intensity 51
- (1 1 2), 36.8°, d 2.443, intensity 35
- (2 0 2), 40.0°, d 2.253, intensity 40
- (1 0 3), 41.1°, d 2.198, intensity 42
- (1 2 1), 43.0°, d 2.102, intensity 27
- (2 1 2), 48.7°, d 1.871, intensity 27
- (0 3 2), 53.8°, d 1.703, intensity 41
- (3 1 1), 58.7°, d 1.574, intensity 30
- (0 2 4), 61.0°, d 1.519, intensity 18
- (3 0 4), 72.0°, d 1.312, intensity 18

Structural model:
a b c (Å): 6.7202 6.7202 7.1187
angles (deg): 90.00 90.00 120.00
Space group P3_221 (No. 154)
One atom of each set of equivalent atoms:
1 Eu 0.0000 0.6043 0.3333 (multiplicity 3)
2 P 0.1177 0.3395 0.6233 (multiplicity 6)
3 Ir 0.0000 0.1315 0.3333 (multiplicity 3)
4 Ir 0.0000 0.5135 0.8333 (multiplicity 3)

***

Li2Hg2As: calculated PXRD pattern (copper Kα), based on a structure optimized by DFT (GGA-PBE).
No peak broadening, texture or thermal motion is included.

Peak list (12 most intense, 10 to 90 degrees two-theta, in order of rising 2θ)
- (0 0 1), 10.8°, d 8.182, intensity 64
- (1 0 -1), 18.9°, d 4.683, intensity 20
- (1 1 0), 25.5°, d 3.498, intensity 68
- (1 0 -2), 26.7°, d 3.337, intensity 40
- (1 0 2), 27.1°, d 3.294, intensity 28
- (1 1 1), 27.8°, d 3.207, intensity 100
- (1 1 2), 33.9°, d 2.648, intensity 21
- (1 0 -3), 36.4°, d 2.470, intensity 22
- (0 1 3), 38.7°, d 2.325, intensity 60
- (2 0 2), 38.9°, d 2.313, intensity 21
- (2 1 -1), 39.2°, d 2.299, intensity 53
- (0 2 0), 40.5°, d 2.225, intensity 36

Structural model:
a b c (Å): 5.659 4.450 8.183
angles (deg): 90.00 90.77 90.00
Space group P2_1/m (No. 11)
One atom of each set of equivalent atoms:
1 Li 0.004 0.250 0.213 (multiplicity 2)
2 Li 0.308 0.750 0.066 (multiplicity 2)
3 Hg 0.171 0.250 0.544 (multiplicity 2)
4 Hg 0.489 0.250 0.262 (multiplicity 2)
5 As 0.204 0.250 0.889 (multiplicity 2)

***

Co3C5: calculated PXRD pattern (copper Kα), based on a structure optimized by DFT (GGA-PBE).
No peak broadening, texture or thermal motion is included.

Peak list (12 most intense, 10 to 90 degrees two-theta, in order of rising 2θ)
- (0 0 2), 16.8°, d 5.277, intensity 74
- (0 2 2), 26.6°, d 3.347, intensity 55
- (2 0 0), 28.6°, d 3.117, intensity 59
- (1 1 3), 31.0°, d 2.888, intensity 52
- (2 0 2), 33.4°, d 2.684, intensity 60
- (0 0 4), 34.0°, d 2.638, intensity 53
- (1 3 1), 35.3°, d 2.542, intensity 100
- (2 2 0), 35.5°, d 2.529, intensity 61
- (2 2 2), 39.5°, d 2.281, intensity 67
- (2 2 4), 49.9°, d 1.826, intensity 88
- (0 4 4), 54.9°, d 1.674, intensity 42
- (4 0 0), 59.3°, d 1.558, intensity 35

Structural model:
a b c (Å): 6.233 8.659 10.554
angles (deg): 90.00 90.00 90.00
Space group Fmm2 (No. 42)
One atom of each set of equivalent atoms:
1 Co 0.000 0.000 0.000 (multiplicity 4)
2 Co 0.000 0.000 0.237 (multiplicity 4)
3 Co 0.000 0.138 0.553 (multiplicity 8)
4 Co 0.250 0.250 0.225 (multiplicity 8)
5 C 0.000 0.083 0.736 (multiplicity 8)
6 C 0.000 0.165 0.853 (multiplicity 8)
7 C 0.000 0.166 0.125 (multiplicity 8)
8 C 0.000 0.176 0.366 (multiplicity 8)
9 C 0.208 0.000 0.512 (multiplicity 8)

***

Nd3Co3Bi: calculated PXRD pattern (copper Kα), based on a structure optimized by DFT (GGA-PBE).
No peak broadening, texture or thermal motion is included.

Peak list (12 most intense, 10 to 90 degrees two-theta, in order of rising 2θ)
- (1 1 1), 28.1°, d 3.179, intensity 88
- (1 2 0), 28.5°, d 3.137, intensity 54
- (2 0 1), 30.1°, d 2.969, intensity 92
- (3 0 0), 32.4°, d 2.767, intensity 62
- (1 2 1), 35.6°, d 2.524, intensity 100
- (1 3 0), 39.1°, d 2.302, intensity 28
- (0 0 2), 42.6°, d 2.124, intensity 39
- (2 2 1), 43.4°, d 2.087, intensity 29
- (1 2 2), 52.0°, d 1.759, intensity 20
- (3 2 1), 52.7°, d 1.738, intensity 55
- (3 0 2), 54.5°, d 1.685, intensity 29
- (1 5 1), 66.5°, d 1.407, intensity 26

Structural model:
a b c (Å): 9.5844 9.5844 4.2479
angles (deg): 90.00 90.00 120.00
Space group P6_3/m (No. 176)
One atom of each set of equivalent atoms:
1 Nd 0.0713 0.6894 0.2500 (multiplicity 6)
2 Co 0.0148 0.8672 0.7500 (multiplicity 6)
3 Bi 0.3333 0.6667 0.7500 (multiplicity 2)

***

Y3Ge4Au2: calculated PXRD pattern (copper Kα), based on a structure optimized by DFT (GGA-PBE).
No peak broadening, texture or thermal motion is included.

Peak list (12 most intense, 10 to 90 degrees two-theta, in order of rising 2θ)
- (2 0 -1), 17.8°, d 4.990, intensity 13
- (2 0 1), 22.3°, d 3.985, intensity 28
- (3 1 0), 32.6°, d 2.749, intensity 100
- (0 0 3), 33.1°, d 2.705, intensity 34
- (4 0 -1), 33.3°, d 2.693, intensity 17
- (0 2 0), 40.6°, d 2.221, intensity 34
- (3 1 -3), 42.2°, d 2.143, intensity 61
- (4 0 2), 45.5°, d 1.992, intensity 22
- (0 2 3), 53.4°, d 1.717, intensity 18
- (4 2 2), 62.6°, d 1.483, intensity 17
- (1 1 5), 63.6°, d 1.462, intensity 16
- (7 1 -1), 63.9°, d 1.456, intensity 16

Structural model:
a b c (Å): 10.807 4.443 8.366
angles (deg): 90.00 104.04 90.00
Space group C2/m (No. 12)
One atom of each set of equivalent atoms:
1 Y 0.000 0.000 0.000 (multiplicity 2)
2 Y 0.163 0.500 0.673 (multiplicity 4)
3 Ge 0.050 0.000 0.381 (multiplicity 4)
4 Ge 0.215 0.500 0.042 (multiplicity 4)
5 Au 0.121 0.500 0.289 (multiplicity 4)

***

Ce4Si2Tc: calculated PXRD pattern (copper Kα), based on a structure optimized by DFT (GGA-PBE).
No peak broadening, texture or thermal motion is included.

Peak list (12 most intense, 10 to 90 degrees two-theta, in order of rising 2θ)
- (0 0 3), 11.2°, d 7.871, intensity 17
- (0 1 5), 28.1°, d 3.178, intensity 85
- (1 0 7), 33.8°, d 2.653, intensity 17
- (1 1 0), 36.2°, d 2.481, intensity 100
- (0 1 8), 36.9°, d 2.433, intensity 44
- (2 0 5), 46.4°, d 1.956, intensity 22
- (2 0 8), 52.7°, d 1.737, intensity 16
- (1 0 13), 54.9°, d 1.673, intensity 21
- (1 2 5), 60.3°, d 1.536, intensity 20
- (3 0 0), 65.1°, d 1.432, intensity 18
- (1 2 8), 65.6°, d 1.423, intensity 16
- (2 1 13), 79.1°, d 1.211, intensity 15

Structural model:
a b c (Å): 4.9614 4.9614 23.6132
angles (deg): 90.00 90.00 120.00
Space group R-3m (No. 166, hexagonal axes)
One atom of each set of equivalent atoms:
1 Ce 0.0000 0.0000 0.1175 (multiplicity 6)
2 Ce 0.0000 0.0000 0.2738 (multiplicity 6)
3 Si 0.0000 0.0000 0.3966 (multiplicity 6)
4 Tc 0.0000 0.0000 0.5000 (multiplicity 3)

***

Dy4Bi3Sb: calculated PXRD pattern (copper Kα), based on a structure optimized by DFT (GGA-PBE).
No peak broadening, texture or thermal motion is included.

Peak list (12 most intense, 10 to 90 degrees two-theta, in order of rising 2θ)
- (1 0 0), 14.1°, d 6.291, intensity 2
- (1 1 0), 20.0°, d 4.448, intensity 2
- (1 1 1), 24.5°, d 3.632, intensity 1
- (2 0 0), 28.4°, d 3.145, intensity 100
- (2 1 0), 31.8°, d 2.813, intensity 1
- (2 1 1), 34.9°, d 2.568, intensity 1
- (2 2 0), 40.6°, d 2.224, intensity 78
- (2 2 2), 50.2°, d 1.816, intensity 28
- (4 0 0), 58.7°, d 1.573, intensity 13
- (4 2 0), 66.5°, d 1.407, intensity 37
- (4 2 2), 73.8°, d 1.284, intensity 27
- (4 4 0), 87.8°, d 1.112, intensity 9

Structural model:
a b c (Å): 6.291 6.291 6.291
angles (deg): 90.00 90.00 90.00
Space group Pm-3m (No. 221)
One atom of each set of equivalent atoms:
1 Dy 0.000 0.000 0.000 (multiplicity 1)
2 Dy 0.000 0.500 0.500 (multiplicity 3)
3 Bi 0.000 0.000 0.500 (multiplicity 3)
4 Sb 0.500 0.500 0.500 (multiplicity 1)

***

Li2Zn2HgAu2: calculated PXRD pattern (copper Kα), based on a structure optimized by DFT (GGA-PBE).
No peak broadening, texture or thermal motion is included.

Peak list (12 most intense, 10 to 90 degrees two-theta, in order of rising 2θ)
- (0 0 1), 13.5°, d 6.556, intensity 34
- (2 0 0), 19.6°, d 4.536, intensity 16
- (2 0 -1), 22.7°, d 3.913, intensity 36
- (1 1 0), 24.8°, d 3.597, intensity 54
- (1 1 -1), 27.8°, d 3.206, intensity 24
- (1 1 2), 37.8°, d 2.377, intensity 100
- (3 1 -1), 39.0°, d 2.307, intensity 93
- (4 0 1), 43.5°, d 2.082, intensity 35
- (2 0 -3), 44.2°, d 2.048, intensity 31
- (0 2 0), 46.4°, d 1.959, intensity 33
- (4 2 1), 65.4°, d 1.427, intensity 30
- (2 2 -3), 66.0°, d 1.416, intensity 19

Structural model:
a b c (Å): 9.116 3.918 6.587
angles (deg): 90.00 95.60 90.00
Space group C2/m (No. 12)
One atom of each set of equivalent atoms:
1 Li 0.214 0.000 0.159 (multiplicity 4)
2 Zn 0.076 0.000 0.697 (multiplicity 4)
3 Hg 0.000 0.500 0.000 (multiplicity 2)
4 Au 0.143 0.500 0.414 (multiplicity 4)

***

NbOsO: calculated PXRD pattern (copper Kα), based on a structure optimized by DFT (GGA-PBE).
No peak broadening, texture or thermal motion is included.

Peak list (12 most intense, 10 to 90 degrees two-theta, in order of rising 2θ)
- (0 0 2), 15.6°, d 5.690, intensity 30
- (0 0 4), 31.4°, d 2.845, intensity 28
- (1 0 0), 36.4°, d 2.468, intensity 39
- (1 0 2), 39.8°, d 2.264, intensity 100
- (1 0 3), 43.8°, d 2.069, intensity 11
- (1 0 4), 48.9°, d 1.864, intensity 32
- (1 0 6), 61.7°, d 1.504, intensity 19
- (1 1 0), 65.5°, d 1.425, intensity 20
- (1 1 4), 74.5°, d 1.274, intensity 14
- (1 0 8), 77.4°, d 1.232, intensity 14
- (2 0 2), 79.5°, d 1.206, intensity 14
- (1 1 6), 85.2°, d 1.139, intensity 12

Structural model:
a b c (Å): 2.8499 2.8499 11.3803
angles (deg): 90.00 90.00 120.00
Space group P-6m2 (No. 187)
One atom of each set of equivalent atoms:
1 Nb 0.0000 0.0000 0.2001 (multiplicity 2)
2 Os 0.3333 0.6667 0.0000 (multiplicity 1)
3 Os 0.3333 0.6667 0.5000 (multiplicity 1)
4 O 0.3333 0.6667 0.3229 (multiplicity 2)

***

Pm3Al4Cu4: calculated PXRD pattern (copper Kα), based on a structure optimized by DFT (GGA-PBE).
No peak broadening, texture or thermal motion is included.

Peak list (12 most intense, 10 to 90 degrees two-theta, in order of rising 2θ)
- (2 0 0), 23.4°, d 3.806, intensity 20
- (2 1 1), 28.7°, d 3.107, intensity 40
- (2 2 0), 33.3°, d 2.691, intensity 100
- (3 1 0), 37.4°, d 2.407, intensity 41
- (2 2 2), 41.1°, d 2.197, intensity 14
- (4 1 1), 50.9°, d 1.794, intensity 18
- (4 2 0), 53.9°, d 1.702, intensity 32
- (3 3 2), 56.7°, d 1.623, intensity 13
- (4 2 2), 59.5°, d 1.554, intensity 23
- (4 4 0), 69.9°, d 1.345, intensity 10
- (6 0 0), 74.9°, d 1.269, intensity 19
- (6 2 2), 84.4°, d 1.147, intensity 13

Structural model:
a b c (Å): 7.611 7.611 7.611
angles (deg): 90.00 90.00 90.00
Space group I-43m (No. 217)
One atom of each set of equivalent atoms:
1 Pm 0.000 0.000 0.500 (multiplicity 6)
2 Al 0.134 0.134 0.134 (multiplicity 8)
3 Cu 0.186 0.186 0.814 (multiplicity 8)

***

ZnAgHg: calculated PXRD pattern (copper Kα), based on a structure optimized by DFT (GGA-PBE).
No peak broadening, texture or thermal motion is included.

Peak list (12 most intense, 10 to 90 degrees two-theta, in order of rising 2θ)
- (0 0 2), 13.1°, d 6.765, intensity 17
- (0 0 4), 26.3°, d 3.382, intensity 10
- (1 1 1), 32.3°, d 2.769, intensity 16
- (0 2 0), 37.1°, d 2.421, intensity 26
- (1 1 3), 37.5°, d 2.396, intensity 100
- (0 0 6), 40.0°, d 2.255, intensity 20
- (2 0 0), 52.5°, d 1.742, intensity 10
- (0 2 6), 55.7°, d 1.650, intensity 15
- (2 2 0), 66.1°, d 1.414, intensity 9
- (1 3 3), 67.2°, d 1.393, intensity 18
- (1 1 9), 71.0°, d 1.327, intensity 13
- (2 2 6), 80.1°, d 1.198, intensity 10

Structural model:
a b c (Å): 3.485 4.843 13.530
angles (deg): 90.00 90.00 90.00
Space group Fmm2 (No. 42)
One atom of each set of equivalent atoms:
1 Zn 0.000 0.000 0.000 (multiplicity 4)
2 Ag 0.000 0.000 0.349 (multiplicity 4)
3 Hg 0.000 0.000 0.668 (multiplicity 4)

***

Pm2Ho7: calculated PXRD pattern (copper Kα), based on a structure optimized by DFT (GGA-PBE).
No peak broadening, texture or thermal motion is included.

Peak list (8 most intense, 10 to 90 degrees two-theta, in order of rising 2θ)
- (1 1 1), 30.9°, d 2.898, intensity 100
- (2 -1 2), 35.8°, d 2.510, intensity 51
- (3 0 0), 51.5°, d 1.775, intensity 36
- (3 0 3), 61.2°, d 1.514, intensity 43
- (2 2 2), 64.3°, d 1.449, intensity 12
- (4 -2 4), 75.8°, d 1.255, intensity 6
- (4 1 1), 84.0°, d 1.152, intensity 18
- (5 -1 2), 86.7°, d 1.123, intensity 17

Structural model:
a b c (Å): 6.1500 6.1500 8.6909
angles (deg): 90.00 90.00 120.00
Space group P-31m (No. 162)
One atom of each set of equivalent atoms:
1 Pm 0.3333 0.6667 0.0000 (multiplicity 2)
2 Ho 0.0000 0.0000 0.0000 (multiplicity 1)
3 Ho 0.0000 0.3324 0.6643 (multiplicity 6)